# Cs3ErSi4O10F2
Computed powder diffraction line list, Cu Kα (λ = 1.5418 Å). Input: DFT lattice parameters and positions (PBE).
Lines closer than 0.1° are merged.

Crystal structure
Lattice parameters (Å, degrees): 7.0076 7.0411 16.0121 95.92 90.08 119.78
Space group P-1 (No. 2)
Asymmetric unit:
Cs1 0.1246 0.2627 0.1804 (multiplicity 2)
Cs2 0.1549 0.3155 0.4492 (multiplicity 2)
Cs3 0.1859 0.3574 0.9199 (multiplicity 2)
Er1 0.5000 0.0000 0.0000 (multiplicity 1)
Er2 0.5000 0.0000 0.5000 (multiplicity 1)
Si1 0.0790 0.7976 0.3243 (multiplicity 2)
Si2 0.2872 0.6686 0.6738 (multiplicity 2)
Si3 0.3832 0.2997 0.6655 (multiplicity 2)
Si4 0.4469 0.8993 0.2111 (multiplicity 2)
O1 0.0343 0.4743 0.6911 (multiplicity 2)
O2 0.1233 0.1473 0.6880 (multiplicity 2)
O3 0.2080 0.9000 0.4136 (multiplicity 2)
O4 0.2193 0.8953 0.2413 (multiplicity 2)
O5 0.2958 0.7484 0.5839 (multiplicity 2)
O6 0.3448 0.8555 0.7549 (multiplicity 2)
O7 0.4289 0.2421 0.5719 (multiplicity 2)
O8 0.4385 0.8328 0.1134 (multiplicity 2)
O9 0.4483 0.5620 0.6845 (multiplicity 2)
O10 0.4639 0.7166 0.2619 (multiplicity 2)
F1 0.1598 0.7639 0.9559 (multiplicity 2)
F2 0.3933 0.2275 0.0529 (multiplicity 2)

Peak list (10 most intense, 15° ≤ 2θ ≤ 90°, in order of rising 2θ)
index, d [Å], I/Imax
1 -2 0, 3.503, 100
1 -1 4, 3.420, 82
0 1 4, 3.156, 29
-1 2 2, 3.090, 29
0 2 -2, 2.952, 13
-2 1 3, 2.923, 13
1 1 -4, 2.777, 18
2 0 4, 2.345, 26
3 -3 0, 2.023, 21
4 -2 0, 1.752, 19

# CsErHgS3
Computed powder diffraction line list, Cu Kα (λ = 1.5418 Å). Input: DFT lattice parameters and positions (PBE).
Lines closer than 0.1° are merged.

Crystal structure
Lattice parameters (Å, degrees): 8.8799 4.1399 10.4657 90.00 111.17 90.00
Space group P2_1/m (No. 11)
Asymmetric unit:
Cs1 0.2442 0.2500 0.2625 (multiplicity 2)
Er1 0.3276 0.7500 0.8694 (multiplicity 2)
Hg1 0.0885 0.2500 0.6192 (multiplicity 2)
S1 0.1137 0.2500 0.8652 (multiplicity 2)
S2 0.2337 0.7500 0.5644 (multiplicity 2)
S3 0.4746 0.7500 0.1380 (multiplicity 2)

Peak list (10 most intense, 15° ≤ 2θ ≤ 90°, in order of rising 2θ)
index, d [Å], I/Imax
2 0 -2, 3.935, 100
1 1 1, 3.290, 80
1 1 -2, 3.210, 44
0 1 2, 3.157, 49
2 1 -1, 3.025, 61
2 1 0, 2.927, 85
1 0 3, 2.712, 76
1 1 -3, 2.667, 75
2 1 1, 2.625, 46
3 0 1, 2.437, 42

# Cs2HoErO4
Computed powder diffraction line list, Cu Kα (λ = 1.5418 Å). Input: DFT lattice parameters and positions (PBE).
Lines closer than 0.1° are merged.

Crystal structure
Lattice parameters (Å, degrees): 3.5072 3.5072 13.5241 90.00 90.00 120.00
Space group P-3m1 (No. 164)
Asymmetric unit:
Cs1 0.3333 0.6667 0.2500 (multiplicity 2)
Ho1 0.0000 0.0000 0.5000 (multiplicity 1)
Er1 0.0000 0.0000 0.0000 (multiplicity 1)
O1 0.3333 0.6667 0.5828 (multiplicity 2)
O2 0.3333 0.6667 0.9173 (multiplicity 2)

Peak list (10 most intense, 15° ≤ 2θ ≤ 90°, in order of rising 2θ)
index, d [Å], I/Imax
0 0 4, 3.381, 45
0 1 1, 2.963, 24
1 0 2, 2.771, 100
1 0 3, 2.519, 31
1 0 4, 2.259, 13
1 0 6, 1.810, 35
1 1 0, 1.754, 28
1 1 4, 1.557, 28
2 0 2, 1.482, 15
2 1 2, 1.132, 13

# Cs2NdErS4
Computed powder diffraction line list, Cu Kα (λ = 1.5418 Å). Input: DFT lattice parameters and positions (PBE).
Lines closer than 0.1° are merged.

Crystal structure
Lattice parameters (Å, degrees): 4.1490 4.1490 16.1065 90.00 90.00 120.00
Space group P-3m1 (No. 164)
Asymmetric unit:
Cs1 0.3333 0.6667 0.2467 (multiplicity 2)
Nd1 0.0000 0.0000 0.5000 (multiplicity 1)
Er1 0.0000 0.0000 0.0000 (multiplicity 1)
S1 0.3333 0.6667 0.5966 (multiplicity 2)
S2 0.3333 0.6667 0.9119 (multiplicity 2)

Peak list (10 most intense, 15° ≤ 2θ ≤ 90°, in order of rising 2θ)
index, d [Å], I/Imax
0 0 4, 4.027, 37
0 1 1, 3.507, 18
0 1 2, 3.281, 100
1 0 3, 2.986, 54
1 0 4, 2.681, 18
0 1 6, 2.151, 45
1 1 0, 2.074, 39
1 1 4, 1.844, 27
2 0 2, 1.754, 20
1 1 8, 1.445, 16

# Cs2ErTmO4
Computed powder diffraction line list, Cu Kα (λ = 1.5418 Å). Input: DFT lattice parameters and positions (PBE).
Lines closer than 0.1° are merged.

Crystal structure
Lattice parameters (Å, degrees): 3.4892 3.4892 13.5323 90.00 90.00 120.00
Space group P-3m1 (No. 164)
Asymmetric unit:
Cs1 0.3333 0.6667 0.2502 (multiplicity 2)
Er1 0.0000 0.0000 0.0000 (multiplicity 1)
Tm1 0.0000 0.0000 0.5000 (multiplicity 1)
O1 0.3333 0.6667 0.5814 (multiplicity 2)
O2 0.3333 0.6667 0.9173 (multiplicity 2)

Peak list (10 most intense, 15° ≤ 2θ ≤ 90°, in order of rising 2θ)
index, d [Å], I/Imax
0 0 4, 3.383, 45
1 0 1, 2.949, 23
1 0 2, 2.759, 100
0 1 3, 2.510, 31
0 1 4, 2.254, 14
1 0 6, 1.807, 35
1 1 0, 1.745, 27
1 1 4, 1.551, 28
0 2 2, 1.475, 19
2 1 2, 1.126, 13

# Cs2YErO4
Computed powder diffraction line list, Cu Kα (λ = 1.5418 Å). Input: DFT lattice parameters and positions (PBE).
Lines closer than 0.1° are merged.

Crystal structure
Lattice parameters (Å, degrees): 3.5163 3.5163 13.5546 90.00 90.00 120.00
Space group P-3m1 (No. 164)
Asymmetric unit:
Cs1 0.3333 0.6667 0.2498 (multiplicity 2)
Y1 0.0000 0.0000 0.5000 (multiplicity 1)
Er1 0.0000 0.0000 0.0000 (multiplicity 1)
O1 0.3333 0.6667 0.5843 (multiplicity 2)
O2 0.3333 0.6667 0.9181 (multiplicity 2)

Peak list (10 most intense, 15° ≤ 2θ ≤ 90°, in order of rising 2θ)
index, d [Å], I/Imax
0 0 4, 3.389, 48
0 1 1, 2.971, 38
0 1 2, 2.778, 100
1 0 3, 2.525, 48
0 1 5, 2.025, 13
1 0 6, 1.814, 36
1 1 0, 1.758, 31
1 1 4, 1.561, 30
2 0 2, 1.486, 15
1 1 8, 1.220, 14

# Cs2PrErSe4
Computed powder diffraction line list, Cu Kα (λ = 1.5418 Å). Input: DFT lattice parameters and positions (PBE).
Lines closer than 0.1° are merged.

Crystal structure
Lattice parameters (Å, degrees): 4.3246 4.3246 16.7354 90.00 90.00 120.00
Space group P-3m1 (No. 164)
Asymmetric unit:
Cs1 0.3333 0.6667 0.2453 (multiplicity 2)
Pr1 0.0000 0.0000 0.5000 (multiplicity 1)
Er1 0.0000 0.0000 0.0000 (multiplicity 1)
Se1 0.3333 0.6667 0.5992 (multiplicity 2)
Se2 0.3333 0.6667 0.9103 (multiplicity 2)

Peak list (10 most intense, 15° ≤ 2θ ≤ 90°, in order of rising 2θ)
index, d [Å], I/Imax
0 0 4, 4.184, 16
0 1 2, 3.418, 74
1 0 3, 3.109, 100
1 0 4, 2.790, 30
1 0 6, 2.237, 54
1 1 0, 2.162, 57
0 2 3, 1.775, 19
0 2 6, 1.555, 17
2 1 3, 1.372, 16
2 1 6, 1.262, 17

# CsErZnSeS2
Computed powder diffraction line list, Cu Kα (λ = 1.5418 Å). Input: DFT lattice parameters and positions (PBE).
Lines closer than 0.1° are merged.

Crystal structure
Lattice parameters (Å, degrees): 4.0336 15.8252 10.7481 90.00 90.00 90.00
Space group Cmcm (No. 63)
Asymmetric unit:
Cs1 0.0000 0.2484 0.2500 (multiplicity 4)
Er1 0.0000 0.5000 0.0000 (multiplicity 4)
Zn1 0.0000 0.0386 0.7500 (multiplicity 4)
Se1 0.0000 0.4399 0.7500 (multiplicity 4)
S1 0.0000 0.1099 0.5619 (multiplicity 8)

Peak list (10 most intense, 15° ≤ 2θ ≤ 90°, in order of rising 2θ)
index, d [Å], I/Imax
0 2 2, 4.446, 56
0 4 0, 3.956, 48
1 3 1, 3.071, 100
1 3 2, 2.752, 41
0 0 4, 2.687, 47
1 3 3, 2.388, 26
0 6 2, 2.368, 32
1 5 2, 2.259, 40
0 4 4, 2.223, 31
2 0 0, 2.017, 26

# CsErZnTeSe2
Computed powder diffraction line list, Cu Kα (λ = 1.5418 Å). Input: DFT lattice parameters and positions (PBE).
Lines closer than 0.1° are merged.

Crystal structure
Lattice parameters (Å, degrees): 4.2299 16.9114 11.3665 90.00 90.00 90.00
Space group Cmcm (No. 63)
Asymmetric unit:
Cs1 0.0000 0.2352 0.2500 (multiplicity 4)
Er1 0.0000 0.0000 0.0000 (multiplicity 4)
Zn1 0.0000 0.4716 0.7500 (multiplicity 4)
Te1 0.0000 0.0730 0.7500 (multiplicity 4)
Se1 0.0000 0.3939 0.5663 (multiplicity 8)

Peak list (10 most intense, 15° ≤ 2θ ≤ 90°, in order of rising 2θ)
index, d [Å], I/Imax
0 2 2, 4.717, 33
1 3 1, 3.243, 100
1 3 2, 2.907, 51
0 0 4, 2.842, 34
0 6 2, 2.525, 27
1 5 2, 2.395, 43
2 0 0, 2.115, 31
1 7 2, 1.968, 32
1 3 5, 1.887, 30
0 6 6, 1.573, 20

# Cs2YErSe4
Computed powder diffraction line list, Cu Kα (λ = 1.5418 Å). Input: DFT lattice parameters and positions (PBE).
Lines closer than 0.1° are merged.

Crystal structure
Lattice parameters (Å, degrees): 4.2385 4.2385 16.6819 90.00 90.00 120.00
Space group P-3m1 (No. 164)
Asymmetric unit:
Cs1 0.3333 0.6667 0.2494 (multiplicity 2)
Y1 0.0000 0.0000 0.5000 (multiplicity 1)
Er1 0.0000 0.0000 0.0000 (multiplicity 1)
Se1 0.3333 0.6667 0.5938 (multiplicity 2)
Se2 0.3333 0.6667 0.9081 (multiplicity 2)

Peak list (10 most intense, 15° ≤ 2θ ≤ 90°, in order of rising 2θ)
index, d [Å], I/Imax
0 1 2, 3.360, 53
1 0 3, 3.063, 100
1 0 4, 2.755, 17
1 0 6, 2.216, 45
1 1 0, 2.119, 48
0 2 3, 1.743, 19
0 1 9, 1.655, 14
0 2 6, 1.532, 14
2 1 3, 1.346, 16
2 1 6, 1.241, 14

# Cs2ErTh2
Computed powder diffraction line list, Cu Kα (λ = 1.5418 Å). Input: DFT lattice parameters and positions (PBE).
Lines closer than 0.1° are merged.

Crystal structure
Lattice parameters (Å, degrees): 6.8310 6.8310 19.0340 90.00 90.00 90.00
Space group I4_1/amd (No. 141, origin choice 2)
Asymmetric unit:
Cs1 0.0000 0.0000 0.0000 (multiplicity 8)
Er1 0.0000 0.2500 0.3750 (multiplicity 4)
Th1 0.0000 0.2500 0.2089 (multiplicity 8)

Peak list (10 most intense, 15° ≤ 2θ ≤ 90°, in order of rising 2θ)
index, d [Å], I/Imax
0 0 4, 4.759, 24
2 0 0, 3.416, 78
1 0 5, 3.325, 63
2 0 2, 3.215, 25
2 1 1, 3.016, 100
2 1 3, 2.752, 51
1 1 6, 2.652, 80
2 1 7, 2.031, 34
3 2 1, 1.885, 26
3 1 6, 1.786, 51

# CsGd3F10
Computed powder diffraction line list, Cu Kα (λ = 1.5418 Å). Input: DFT lattice parameters and positions (PBE).
Lines closer than 0.1° are merged.

Crystal structure
Lattice parameters (Å, degrees): 13.5038 7.7991 4.0683 90.00 90.03 90.00
Space group Cm (No. 8)
Asymmetric unit:
Cs1 0.0000 0.0000 0.0000 (multiplicity 2)
Gd1 0.0056 0.5000 0.4832 (multiplicity 2)
Gd2 0.2457 0.2607 0.4903 (multiplicity 4)
F1 0.0962 0.2938 0.7163 (multiplicity 4)
F2 0.1660 0.5000 0.2582 (multiplicity 2)
F3 0.1759 0.0000 0.4735 (multiplicity 2)
F4 0.2724 0.1769 0.9900 (multiplicity 4)
F5 0.3039 0.5000 0.7211 (multiplicity 2)
F6 0.4107 0.2355 0.4680 (multiplicity 4)
F7 0.4497 0.0000 0.9831 (multiplicity 2)

Peak list (10 most intense, 15° ≤ 2θ ≤ 90°, in order of rising 2θ)
index, d [Å], I/Imax
0 0 1, 4.068, 20
1 1 -1, 3.485, 46
4 0 0, 3.377, 100
0 2 1, 2.815, 35
2 2 1, 2.598, 23
1 3 1, 2.162, 27
6 2 0, 1.949, 34
2 2 2, 1.742, 38
7 1 1, 1.701, 15
6 2 2, 1.407, 16